Structure and calculated powder XRD pattern of Nd5Dy2Tm4 (the PBE geometry in Alexandria; Cu Kα (λ = 1.5418 Å)).
No peak broadening, texture or thermal motion is included.

Principal peaks in the range 10° ≤ 2θ ≤ 90°, in order of rising 2θ:
2theta	I/Imax
28.26	65
30.11	57
30.41	32
31.66	69
32.39	100
35.69	52
36.99	50
42.22	29

```
data_Nd5Dy2Tm4
_chemical_formula_sum 'Nd5 Dy2 Tm4'
_cell_length_a 12.7288
_cell_length_b 12.7288
_cell_length_c 12.7288
_cell_angle_alpha 164.10
_cell_angle_beta 138.16
_cell_angle_gamma 45.03
_symmetry_space_group_name_H-M 'P 1'
_symmetry_Int_Tables_number 1
_symmetry_space_group_name_Hall 'P 1'
loop_
_atom_site_label
_atom_site_type_symbol
_atom_site_fract_x
_atom_site_fract_y
_atom_site_fract_z
Nd1 Nd 0.0000 0.0000 0.0000
Nd2 Nd 0.0555 0.3548 0.7007
Nd3 Nd 0.3460 0.6452 0.7007
Nd4 Nd 0.6540 0.3548 0.2993
Nd5 Nd 0.9445 0.6452 0.2993
Dy1 Dy 0.2694 0.7694 0.5000
Dy2 Dy 0.7306 0.2306 0.5000
Tm1 Tm 0.3161 0.5000 0.8161
Tm2 Tm 0.4037 0.9037 0.5000
Tm3 Tm 0.5963 0.0963 0.5000
Tm4 Tm 0.6839 0.5000 0.1839
```

Structure and calculated powder XRD pattern of Nd2Dy9Tm (the PBE geometry in Alexandria; Cu Kα (λ = 1.5418 Å)).
No peak broadening, texture or thermal motion is included.

Principal peaks in the range 10° ≤ 2θ ≤ 90°, in order of rising 2θ:
2theta	I/Imax
30.76	100
35.66	51
51.33	36
61.04	43
64.07	12
75.54	6
83.74	18
86.43	17

```
data_Nd2Dy9Tm
_chemical_formula_sum 'Nd2 Dy9 Tm1'
_cell_length_a 5.0361
_cell_length_b 5.0361
_cell_length_c 15.0976
_cell_angle_alpha 90.00
_cell_angle_beta 90.00
_cell_angle_gamma 90.00
_symmetry_space_group_name_H-M 'P 1'
_symmetry_Int_Tables_number 1
_symmetry_space_group_name_Hall 'P 1'
loop_
_atom_site_label
_atom_site_type_symbol
_atom_site_fract_x
_atom_site_fract_y
_atom_site_fract_z
Nd1 Nd 0.0000 0.0000 0.1677
Nd2 Nd 0.0000 0.0000 0.8323
Dy1 Dy 0.0000 0.5000 0.0000
Dy2 Dy 0.0000 0.5000 0.3360
Dy3 Dy 0.0000 0.5000 0.6640
Dy4 Dy 0.5000 0.0000 0.0000
Dy5 Dy 0.5000 0.0000 0.3360
Dy6 Dy 0.5000 0.0000 0.6640
Dy7 Dy 0.5000 0.5000 0.1684
Dy8 Dy 0.5000 0.5000 0.5000
Dy9 Dy 0.5000 0.5000 0.8316
Tm1 Tm 0.0000 0.0000 0.5000
```